No. 1
Starting from a PBE-relaxed structure, the X-ray powder pattern of Mg3As2O8 was simulated for Cu Ka.
Intensities are scaled so that the largest is 100.

Structural model:
abc: 5.366 8.454 9.148
angles: 90.00 119.98 90.00
Fractional positions:
Mg: 0.000 0.000 0.000
Mg: 0.000 0.145 0.399
Mg: 0.000 0.355 0.899
Mg: 0.000 0.500 0.500
Mg: 0.000 0.645 0.101
Mg: 0.000 0.855 0.601
As: 0.348 0.194 0.805
As: 0.348 0.306 0.305
As: 0.652 0.694 0.695
As: 0.652 0.806 0.195
O: 0.169 0.126 0.241
O: 0.169 0.374 0.741
O: 0.200 0.063 0.638
O: 0.200 0.437 0.138
O: 0.266 0.146 0.958
O: 0.266 0.354 0.458
O: 0.288 0.696 0.616
O: 0.288 0.804 0.116
O: 0.712 0.196 0.884
O: 0.712 0.304 0.384
O: 0.734 0.646 0.542
O: 0.734 0.854 0.042
O: 0.800 0.563 0.862
O: 0.800 0.937 0.362
O: 0.831 0.626 0.259
O: 0.831 0.874 0.759

Top 10 peaks for 10 to 90 degrees two-theta, sorted by position:
d (Å)	2theta	I_rel
4.514	19.67	22
4.229	21.01	43
4.073	21.82	100
3.787	23.49	57
3.588	24.82	86
2.669	33.57	22
2.623	34.18	24
2.492	36.04	32
2.200	41.02	27
1.620	56.85	25

=====

No. 2
Starting from a PBE-relaxed structure, the X-ray powder pattern of HfTa5B4 was simulated for Cu Ka.
Intensities are scaled so that the largest is 100.

Structural model:
abc: 6.261 6.261 3.315
angles: 90.00 90.00 90.00
Fractional positions:
Hf: 0.000 0.000 0.000
Ta: 0.179 0.327 0.500
Ta: 0.327 0.821 0.500
Ta: 0.500 0.500 0.000
Ta: 0.673 0.179 0.500
Ta: 0.821 0.673 0.500
B: 0.107 0.605 0.000
B: 0.395 0.107 0.000
B: 0.605 0.893 0.000
B: 0.893 0.395 0.000

Top 10 peaks for 10 to 90 degrees two-theta, sorted by position:
d (Å)	2theta	I_rel
2.800	31.96	69
2.653	33.78	57
2.276	39.60	100
2.214	40.76	28
2.139	42.25	76
1.980	45.83	49
1.426	65.44	18
1.381	67.89	24
1.348	69.75	34
1.271	74.69	24

=====

No. 3
Starting from a PBE-relaxed structure, the X-ray powder pattern of ThB4O8 was simulated for Cu Ka.
Intensities are scaled so that the largest is 100.

Structural model:
abc: 8.406 8.406 7.352
angles: 113.92 113.92 29.16
Fractional positions:
Th: 0.188 0.812 0.750
Th: 0.812 0.188 0.250
B: 0.001 0.607 0.296
B: 0.170 0.547 0.009
B: 0.393 0.999 0.204
B: 0.453 0.830 0.491
B: 0.547 0.170 0.509
B: 0.607 0.001 0.796
B: 0.830 0.453 0.991
B: 0.999 0.393 0.704
O: 0.064 0.670 0.203
O: 0.071 0.361 0.167
O: 0.186 0.710 0.014
O: 0.192 0.494 0.491
O: 0.290 0.814 0.486
O: 0.330 0.936 0.297
O: 0.361 0.071 0.667
O: 0.494 0.192 0.991
O: 0.506 0.808 0.009
O: 0.639 0.929 0.333
O: 0.670 0.064 0.703
O: 0.710 0.186 0.514
O: 0.808 0.506 0.509
O: 0.814 0.290 0.986
O: 0.929 0.639 0.833
O: 0.936 0.330 0.797

Top 10 peaks for 10 to 90 degrees two-theta, sorted by position:
d (Å)	2theta	I_rel
7.387	11.98	100
3.694	24.09	22
3.670	24.25	56
3.338	26.71	20
3.309	26.95	39
3.261	27.35	40
3.243	27.51	37
2.626	34.14	37
2.118	42.68	29
2.020	44.88	23

=====

No. 4
Starting from a PBE-relaxed structure, the X-ray powder pattern of Mg14NbNi was simulated for Cu Ka.
Intensities are scaled so that the largest is 100.

Structural model:
abc: 9.889 6.296 6.296
angles: 58.33 90.00 90.00
Fractional positions:
Mg: 0.000 0.000 0.000
Mg: 0.000 0.004 0.499
Mg: 0.000 0.499 0.004
Mg: 0.000 0.499 0.499
Mg: 0.250 0.663 0.663
Mg: 0.265 0.169 0.671
Mg: 0.265 0.671 0.169
Mg: 0.268 0.156 0.156
Mg: 0.500 0.000 0.516
Mg: 0.500 0.516 0.000
Mg: 0.732 0.156 0.156
Mg: 0.735 0.169 0.671
Mg: 0.735 0.671 0.169
Mg: 0.750 0.663 0.663
Nb: 0.500 0.513 0.513
Ni: 0.500 0.998 0.998

Top 10 peaks for 10 to 90 degrees two-theta, sorted by position:
d (Å)	2theta	I_rel
5.497	16.12	17
4.805	18.47	21
2.679	33.45	33
2.472	36.34	39
2.402	37.43	60
2.356	38.21	100
1.817	50.21	19
1.573	58.68	18
1.404	66.62	17
1.327	71.02	19

=====

No. 5
Starting from a PBE-relaxed structure, the X-ray powder pattern of CoGe was simulated for Cu Ka.
Intensities are scaled so that the largest is 100.

Structural model:
abc: 4.640 4.640 4.640
angles: 90.00 90.00 90.00
Fractional positions:
Co: 0.136 0.136 0.136
Co: 0.364 0.864 0.636
Co: 0.636 0.364 0.864
Co: 0.864 0.636 0.364
Ge: 0.160 0.340 0.660
Ge: 0.340 0.660 0.160
Ge: 0.660 0.160 0.340
Ge: 0.840 0.840 0.840

Top 10 peaks for 10 to 90 degrees two-theta, sorted by position:
d (Å)	2theta	I_rel
2.679	33.45	16
2.320	38.81	11
2.075	43.62	100
1.894	48.03	53
1.547	59.79	8
1.399	66.88	10
1.287	73.60	4
1.240	76.87	33
1.160	83.30	7
1.125	86.47	7

=====

No. 6
Starting from a PBE-relaxed structure, the X-ray powder pattern of ThMnSe3 was simulated for Cu Ka.
Intensities are scaled so that the largest is 100.

Structural model:
abc: 6.682 6.682 9.370
angles: 90.00 90.00 144.70
Fractional positions:
Th: 0.249 0.751 0.750
Th: 0.751 0.249 0.250
Mn: 0.000 0.000 0.000
Mn: 0.000 0.000 0.500
Se: 0.082 0.918 0.250
Se: 0.357 0.643 0.058
Se: 0.357 0.643 0.442
Se: 0.643 0.357 0.558
Se: 0.643 0.357 0.942
Se: 0.918 0.082 0.750

Top 10 peaks for 10 to 90 degrees two-theta, sorted by position:
d (Å)	2theta	I_rel
6.368	13.91	34
3.774	23.58	37
3.570	24.94	27
2.799	31.98	100
2.428	37.02	46
2.137	42.28	22
2.102	43.04	20
2.026	44.73	21
1.933	47.01	29
1.579	58.45	19